1.
Starting from DFT lattice parameters and positions (PBE), the X-ray powder pattern of TaMo2Se4S2 was calculated for Cu Kα X-rays.

Atomic structure:
```
TaMo2Se4S2
1.0
3.3321 0.0000 0.0000
-1.6660 2.8857 0.0000
0.0000 0.0000 21.3840
Ta Mo Se S
1 2 4 2
direct
0.0000 0.0000 0.0000
0.0000 0.0000 0.6539
0.6667 0.3333 0.3220
0.0000 0.0000 0.2438
0.0000 0.0000 0.4001
0.6667 0.3333 0.5758
0.6667 0.3333 0.7321
0.6667 0.3333 0.0732
0.6667 0.3333 0.9268
```

Principal peaks in the range 15° ≤ 2θ ≤ 90°, by angle:
hkl  Position (°2θ)  I (rel.)
1 0 0  31.0  64
0 1 3  33.5  45
1 0 4  35.3  38
0 1 5  37.6  100
1 0 6  40.2  17
1 0 7  43.1  36
0 1 8  46.3  60
1 1 0  55.1  45
1 1 3  56.7  25
1 1 12  78.6  24

---

2.
Starting from DFT lattice parameters and positions (PBE), the X-ray powder pattern of Te2Mo3Se2S2 was calculated for Cu Kα X-rays.

Atomic structure:
```
Te2Mo3Se2S2
1.0
3.3485 0.0000 0.0000
-1.6742 2.8999 0.0000
0.0000 0.0000 22.4596
Te Mo Se S
2 3 2 2
direct
0.0000 0.0000 0.0000
0.0000 0.0000 0.1690
0.0000 0.0000 0.7590
0.6667 0.3333 0.0845
0.6667 0.3333 0.4484
0.0000 0.0000 0.3743
0.0000 0.0000 0.5226
0.6667 0.3333 0.6915
0.6667 0.3333 0.8264
```

Principal peaks in the range 15° ≤ 2θ ≤ 90°, by angle:
hkl  Position (°2θ)  I (rel.)
1 0 0  30.8  62
1 0 3  33.1  17
0 1 4  34.8  14
1 0 5  36.9  100
0 1 6  39.3  32
0 1 8  44.9  56
1 1 0  54.8  36
0 2 5  67.9  16
2 0 8  73.5  13
1 1 13  79.8  16

---

3.
Starting from DFT lattice parameters and positions (PBE), the X-ray powder pattern of Te2MoW3Se4S2 was calculated for Cu Kα X-rays.

Atomic structure:
```
Te2MoW3Se4S2
1.0
3.3439 0.0000 0.0000
-1.6720 2.8959 0.0000
0.0000 0.0000 29.1336
Te Mo W Se S
2 1 3 4 2
direct
0.0000 0.0000 0.0000
0.0000 0.0000 0.1311
0.0000 0.0000 0.8169
0.0000 0.0000 0.3216
0.3333 0.6667 0.0656
0.3333 0.6667 0.5724
0.0000 0.0000 0.5150
0.0000 0.0000 0.6299
0.3333 0.6667 0.2642
0.3333 0.6667 0.3791
0.3333 0.6667 0.7648
0.3333 0.6667 0.8689
```

Principal peaks in the range 15° ≤ 2θ ≤ 90°, by angle:
hkl  Position (°2θ)  I (rel.)
1 0 0  30.9  39
1 0 4  33.3  19
1 0 6  36.1  100
0 1 10  44.1  65
0 0 16  50.1  10
1 1 0  54.9  31
1 1 4  56.5  16
0 2 6  67.5  16
2 0 10  73.0  15
1 1 16  77.5  17

---

4.
Starting from DFT lattice parameters and positions (PBE), the X-ray powder pattern of Te2Mo3WSe2S4 was calculated for Cu Kα X-rays.

Atomic structure:
```
Te2Mo3WSe2S4
1.0
3.3058 0.0000 0.0000
-1.6529 2.8629 0.0000
0.0000 0.0000 34.3012
Te Mo W Se S
2 3 1 2 4
direct
0.0000 0.0000 0.0000
0.0000 0.0000 0.1117
0.0000 0.0000 0.4342
0.0000 0.0000 0.8412
0.3333 0.6667 0.0559
0.3333 0.6667 0.6414
0.3333 0.6667 0.3853
0.3333 0.6667 0.4832
0.0000 0.0000 0.5967
0.0000 0.0000 0.6861
0.3333 0.6667 0.7967
0.3333 0.6667 0.8858
```

Principal peaks in the range 15° ≤ 2θ ≤ 90°, by angle:
hkl  Position (°2θ)  I (rel.)
1 0 0  31.2  48
1 0 1  31.4  22
0 1 5  33.9  20
1 0 7  36.3  100
0 1 8  37.8  27
1 0 9  39.4  27
0 1 10  41.1  19
1 0 12  44.8  68
1 1 0  55.6  36
0 2 12  74.1  21

---

5.
Starting from DFT lattice parameters and positions (PBE), the X-ray powder pattern of Te2MoW3Se2S4 was calculated for Cu Kα X-rays.

Atomic structure:
```
Te2MoW3Se2S4
1.0
3.3036 0.0000 0.0000
-1.6518 2.8610 0.0000
0.0000 0.0000 35.8535
Te Mo W Se S
2 1 3 2 4
direct
0.0000 0.0000 0.0000
0.0000 0.0000 0.1068
0.6667 0.3333 0.0534
0.0000 0.0000 0.2635
0.0000 0.0000 0.6505
0.6667 0.3333 0.4591
0.6667 0.3333 0.2164
0.6667 0.3333 0.3107
0.0000 0.0000 0.4163
0.0000 0.0000 0.5019
0.6667 0.3333 0.6077
0.6667 0.3333 0.6933
```

Principal peaks in the range 15° ≤ 2θ ≤ 90°, by angle:
hkl  Position (°2θ)  I (rel.)
1 0 0  31.3  60
1 0 3  32.2  28
0 1 5  33.7  28
0 1 7  36.0  76
0 1 8  37.3  100
1 0 11  42.0  26
0 1 12  43.8  48
1 0 13  45.7  54
1 1 0  55.7  49
1 1 5  57.2  24

---

6.
Starting from DFT lattice parameters and positions (PBE), the X-ray powder pattern of Te2MoW3Se4S2 was calculated for Cu Kα X-rays.

Atomic structure:
```
Te2MoW3Se4S2
1.0
3.3436 0.0000 0.0000
-1.6718 2.8956 0.0000
0.0000 0.0000 36.9969
Te Mo W Se S
2 1 3 4 2
direct
0.0000 0.0000 0.0000
0.0000 0.0000 0.1032
0.6667 0.3333 0.6580
0.0000 0.0000 0.2548
0.0000 0.0000 0.8484
0.6667 0.3333 0.0516
0.6667 0.3333 0.2095
0.6667 0.3333 0.3000
0.6667 0.3333 0.8031
0.6667 0.3333 0.8936
0.0000 0.0000 0.6170
0.0000 0.0000 0.6990
```

Principal peaks in the range 15° ≤ 2θ ≤ 90°, by angle:
hkl  Position (°2θ)  I (rel.)
1 0 0  30.9  75
1 0 5  33.2  27
0 1 7  35.3  90
1 0 8  36.6  100
0 1 12  42.8  78
1 0 13  44.6  50
1 1 0  54.9  56
1 1 5  56.4  24
2 0 12  72.1  17
1 1 20  76.9  24

---

7.
Starting from DFT lattice parameters and positions (PBE), the X-ray powder pattern of Te2Mo3WSe4S2 was calculated for Cu Kα X-rays.

Atomic structure:
```
Te2Mo3WSe4S2
1.0
3.3449 0.0000 0.0000
-1.6725 2.8968 0.0000
0.0000 0.0000 32.5281
Te Mo W Se S
2 3 1 4 2
direct
0.0000 0.0000 0.0000
0.0000 0.0000 0.1174
0.0000 0.0000 0.2953
0.0000 0.0000 0.8367
0.6667 0.3333 0.6194
0.6667 0.3333 0.0587
0.0000 0.0000 0.5682
0.0000 0.0000 0.6706
0.6667 0.3333 0.2441
0.6667 0.3333 0.3465
0.6667 0.3333 0.7901
0.6667 0.3333 0.8833
```

Principal peaks in the range 15° ≤ 2θ ≤ 90°, by angle:
hkl  Position (°2θ)  I (rel.)
1 0 0  30.9  52
1 0 4  32.8  16
0 1 6  35.1  34
0 1 7  36.6  100
1 0 9  39.9  16
1 0 10  41.8  16
1 0 11  43.7  76
1 1 0  54.9  42
0 2 11  72.7  17
1 1 18  77.8  19

---

8.
Starting from DFT lattice parameters and positions (PBE), the X-ray powder pattern of Te2Mo3WSe2S4 was calculated for Cu Kα X-rays.

Atomic structure:
```
Te2Mo3WSe2S4
1.0
3.3075 0.0000 0.0000
-1.6538 2.8644 0.0000
0.0000 0.0000 33.1160
Te Mo W Se S
2 3 1 2 4
direct
0.0000 0.0000 0.0000
0.0000 0.0000 0.1156
0.0000 0.0000 0.8381
0.3333 0.6667 0.0578
0.3333 0.6667 0.5014
0.0000 0.0000 0.2865
0.3333 0.6667 0.2355
0.3333 0.6667 0.3375
0.0000 0.0000 0.4552
0.0000 0.0000 0.5475
0.3333 0.6667 0.7920
0.3333 0.6667 0.8842
```

Principal peaks in the range 15° ≤ 2θ ≤ 90°, by angle:
hkl  Position (°2θ)  I (rel.)
1 0 0  31.2  46
0 1 1  31.3  17
1 0 4  33.1  17
0 1 6  35.3  37
1 0 7  36.7  100
0 1 11  43.6  70
1 1 0  55.6  33
0 2 7  68.4  16
2 0 11  73.2  16
1 1 18  77.6  17

---

9.
Starting from DFT lattice parameters and positions (PBE), the X-ray powder pattern of Te2MoWSeS was calculated for Cu Kα X-rays.

Atomic structure:
```
Te2MoWSeS
1.0
3.3911 0.0000 0.0000
-1.6956 2.9368 0.0000
0.0000 0.0000 34.8861
Te Mo W Se S
4 2 2 2 2
direct
0.0000 0.0000 0.0000
0.0000 0.0000 0.1076
0.3333 0.6667 0.7781
0.3333 0.6667 0.8857
0.0000 0.0000 0.8319
0.3333 0.6667 0.0538
0.0000 0.0000 0.2673
0.3333 0.6667 0.4696
0.3333 0.6667 0.2197
0.3333 0.6667 0.3148
0.0000 0.0000 0.4263
0.0000 0.0000 0.5128
```

Principal peaks in the range 15° ≤ 2θ ≤ 90°, by angle:
hkl  Position (°2θ)  I (rel.)
0 0 6  15.2  12
1 0 0  30.4  43
0 1 1  30.5  13
0 1 7  35.5  100
0 1 11  41.9  26
0 1 12  43.8  49
1 1 0  54.1  36
2 0 7  66.4  16
2 0 12  72.1  11
1 1 19  76.5  13

---

10.
Starting from DFT lattice parameters and positions (PBE), the X-ray powder pattern of Te2MoW3Se4S2 was calculated for Cu Kα X-rays.

Atomic structure:
```
Te2MoW3Se4S2
1.0
3.3395 0.0000 0.0000
-1.6697 2.8921 0.0000
0.0000 0.0000 33.5854
Te Mo W Se S
2 1 3 4 2
direct
0.0000 0.0000 0.0000
0.0000 0.0000 0.1131
0.6667 0.3333 0.0565
0.0000 0.0000 0.2769
0.0000 0.0000 0.7036
0.6667 0.3333 0.4841
0.0000 0.0000 0.4342
0.0000 0.0000 0.5340
0.6667 0.3333 0.6537
0.6667 0.3333 0.7535
0.6667 0.3333 0.2316
0.6667 0.3333 0.3223
```

Principal peaks in the range 15° ≤ 2θ ≤ 90°, by angle:
hkl  Position (°2θ)  I (rel.)
1 0 0  30.9  42
1 0 3  32.0  11
0 1 5  33.7  15
1 0 7  36.3  100
0 1 10  41.2  19
1 0 11  43.1  26
1 0 12  45.1  40
1 1 0  55.0  30
0 2 7  67.7  16
1 1 19  78.9  11

---

11.
Starting from DFT lattice parameters and positions (PBE), the X-ray powder pattern of TeMoWSe2S was calculated for Cu Kα X-rays.

Atomic structure:
```
TeMoWSe2S
1.0
3.3443 0.0000 0.0000
-1.6722 2.8963 0.0000
0.0000 0.0000 35.0856
Te Mo W Se S
2 2 2 4 2
direct
0.0000 0.0000 0.0000
0.0000 0.0000 0.1088
0.0000 0.0000 0.4368
0.0000 0.0000 0.8423
0.3333 0.6667 0.0544
0.3333 0.6667 0.6369
0.0000 0.0000 0.5892
0.0000 0.0000 0.6846
0.3333 0.6667 0.7948
0.3333 0.6667 0.8898
0.3333 0.6667 0.3936
0.3333 0.6667 0.4801
```

Principal peaks in the range 15° ≤ 2θ ≤ 90°, by angle:
hkl  Position (°2θ)  I (rel.)
1 0 0  30.9  47
0 1 5  33.5  23
0 1 7  35.8  100
0 1 8  37.2  35
1 0 9  38.7  18
0 1 12  44.0  77
1 1 0  54.9  42
2 0 7  67.3  17
2 0 12  72.9  17
1 1 19  76.9  17

---

12.
Starting from DFT lattice parameters and positions (PBE), the X-ray powder pattern of Te2MoWSeS was calculated for Cu Kα X-rays.

Atomic structure:
```
Te2MoWSeS
1.0
3.3944 0.0000 0.0000
-1.6972 2.9396 0.0000
0.0000 0.0000 35.6606
Te Mo W Se S
4 2 2 2 2
direct
0.0000 0.0000 0.0000
0.0000 0.0000 0.1052
0.6667 0.3333 0.2158
0.6667 0.3333 0.3216
0.6667 0.3333 0.0526
0.6667 0.3333 0.4768
0.0000 0.0000 0.2688
0.0000 0.0000 0.6740
0.0000 0.0000 0.4306
0.0000 0.0000 0.5231
0.6667 0.3333 0.6318
0.6667 0.3333 0.7163
```

Principal peaks in the range 15° ≤ 2θ ≤ 90°, by angle:
hkl  Position (°2θ)  I (rel.)
1 0 0  30.4  53
0 1 5  33.0  19
0 1 7  35.2  100
1 0 8  36.6  33
1 0 11  41.5  15
0 1 12  43.3  71
1 1 0  54.0  43
2 0 7  66.2  17
2 0 12  71.6  16
1 1 19  75.5  15